Ce2BiF11: simulated powder diffraction line list (Cu Kα (weighted mean of Kα1 and Kα2)), based on a GGA-PBE-relaxed structure.
Intensities are scaled so that the largest is 100.

Atomic structure:
Cell: 8.762 8.762 8.762 Å, 122.68 106.22 100.41°
Atoms (fractional coordinates):
Ce: 0.182 0.146 0.327
Ce: 0.318 0.646 0.964
Ce: 0.682 0.354 0.036
Ce: 0.818 0.854 0.673
Bi: 0.250 0.750 0.500
Bi: 0.750 0.250 0.500
F: 0.000 0.000 0.000
F: 0.036 0.455 0.774
F: 0.063 0.857 0.649
F: 0.181 0.955 0.418
F: 0.208 0.414 0.351
F: 0.216 0.873 0.089
F: 0.284 0.373 0.657
F: 0.292 0.643 0.206
F: 0.319 0.737 0.774
F: 0.437 0.086 0.794
F: 0.464 0.237 0.418
F: 0.500 0.500 0.000
F: 0.536 0.763 0.582
F: 0.563 0.914 0.206
F: 0.681 0.263 0.226
F: 0.708 0.357 0.794
F: 0.716 0.627 0.343
F: 0.784 0.127 0.911
F: 0.792 0.586 0.649
F: 0.819 0.045 0.582
F: 0.937 0.143 0.351
F: 0.964 0.545 0.226

The 10 most intense peaks (10 to 90 degrees two-theta), by angle:
Position (°2θ), Rel. int.
13.5, 30.5
20.8, 100.0
21.4, 29.6
23.2, 64.5
24.1, 42.1
27.6, 23.8
42.7, 28.7
44.4, 35.2
46.6, 29.6
47.4, 22.7